Entry 1:
Structure and simulated powder diffraction line list of Na3CrCl6 (DFT lattice parameters and positions (PBE); λ = 1.5418 Å (Cu Kα)).

Cell lengths 6.905, 6.905, 12.150 Å; angles 90.00, 90.00, 120.00 degrees
Fractional positions:
1 Na 0.000 0.000 0.250
2 Na 0.000 0.000 0.750
3 Na 0.333 0.667 0.044
4 Na 0.333 0.667 0.456
5 Na 0.667 0.333 0.544
6 Na 0.667 0.333 0.956
7 Cr 0.333 0.667 0.750
8 Cr 0.667 0.333 0.250
9 Cl 0.060 0.383 0.635
10 Cl 0.060 0.678 0.865
11 Cl 0.322 0.383 0.865
12 Cl 0.322 0.940 0.635
13 Cl 0.383 0.060 0.135
14 Cl 0.383 0.322 0.365
15 Cl 0.617 0.678 0.635
16 Cl 0.617 0.940 0.865
17 Cl 0.678 0.060 0.365
18 Cl 0.678 0.617 0.135
19 Cl 0.940 0.322 0.135
20 Cl 0.940 0.617 0.365

Principal peaks in the range 5 to 70 degrees two-theta, sorted by position:
Position (°2θ), intensity
14.58, 152
14.81, 213
16.52, 745
26.58, 138
29.76, 1000
37.38, 239
39.51, 582
40.60, 120
45.50, 359
45.98, 305
52.38, 225
61.81, 127

Entry 2:
Structure and simulated powder diffraction line list of TmH3C3O6 (DFT lattice parameters and positions (PBE); λ = 1.5418 Å (Cu Kα)).

Cell lengths 6.129, 6.129, 6.129 Å; angles 115.54, 115.54, 115.54 degrees
Fractional positions:
1 Tm 0.000 0.000 0.000
2 H 0.359 0.359 0.842
3 H 0.359 0.842 0.359
4 H 0.842 0.359 0.359
5 C 0.146 0.607 0.607
6 C 0.607 0.146 0.607
7 C 0.607 0.607 0.146
8 O 0.281 0.889 0.889
9 O 0.339 0.589 0.589
10 O 0.589 0.339 0.589
11 O 0.589 0.589 0.339
12 O 0.889 0.281 0.889
13 O 0.889 0.889 0.281

Principal peaks in the range 5 to 70 degrees two-theta, sorted by position:
Position (°2θ), intensity
17.10, 1000
24.68, 314
29.85, 129
30.18, 299
34.60, 298
34.90, 381
42.97, 254
46.34, 133
46.57, 115
47.25, 139
49.96, 187
59.30, 100

Entry 3:
Structure and simulated powder diffraction line list of Nb2CuO6 (DFT lattice parameters and positions (PBE); λ = 1.5418 Å (Cu Kα)).

Cell lengths 5.057, 14.356, 5.874 Å; angles 90.00, 92.24, 90.00 degrees
Fractional positions:
1 Nb 0.232 0.162 0.344
2 Nb 0.232 0.338 0.844
3 Nb 0.261 0.658 0.796
4 Nb 0.261 0.842 0.296
5 Nb 0.739 0.158 0.704
6 Nb 0.739 0.342 0.204
7 Nb 0.768 0.662 0.156
8 Nb 0.768 0.838 0.656
9 Cu 0.251 0.002 0.845
10 Cu 0.251 0.498 0.345
11 Cu 0.749 0.502 0.655
12 Cu 0.749 0.998 0.155
13 O 0.056 0.078 0.156
14 O 0.056 0.422 0.656
15 O 0.066 0.096 0.639
16 O 0.066 0.404 0.139
17 O 0.099 0.745 0.092
18 O 0.099 0.755 0.592
19 O 0.402 0.246 0.650
20 O 0.402 0.254 0.150
21 O 0.428 0.576 0.599
22 O 0.428 0.924 0.099
23 O 0.445 0.598 0.074
24 O 0.445 0.902 0.574
25 O 0.555 0.098 0.426
26 O 0.555 0.402 0.926
27 O 0.572 0.076 0.901
28 O 0.572 0.424 0.401
29 O 0.598 0.746 0.850
30 O 0.598 0.754 0.350
31 O 0.901 0.245 0.408
32 O 0.901 0.255 0.908
33 O 0.934 0.596 0.861
34 O 0.934 0.904 0.361
35 O 0.944 0.578 0.344
36 O 0.944 0.922 0.844

Principal peaks in the range 5 to 70 degrees two-theta, sorted by position:
Position (°2θ), intensity
23.99, 608
29.52, 1000
30.24, 974
30.46, 171
34.74, 207
35.53, 248
50.39, 255
52.11, 201
52.69, 345
53.02, 232
60.97, 143
62.92, 176

Entry 4:
Structure and simulated powder diffraction line list of Er2Se3O12 (DFT lattice parameters and positions (PBE); λ = 1.5418 Å (Cu Kα)).

Cell lengths 7.048, 7.048, 6.553 Å; angles 100.57, 100.57, 59.99 degrees
Fractional positions:
1 Er 0.210 0.210 0.362
2 Er 0.790 0.790 0.638
3 Se 0.265 0.320 0.871
4 Se 0.317 0.683 0.500
5 Se 0.680 0.735 0.129
6 O 0.047 0.413 0.674
7 O 0.133 0.774 0.671
8 O 0.200 0.187 0.014
9 O 0.226 0.867 0.329
10 O 0.355 0.440 0.377
11 O 0.433 0.101 0.694
12 O 0.560 0.645 0.623
13 O 0.587 0.953 0.326
14 O 0.712 0.160 0.704
15 O 0.813 0.800 0.986
16 O 0.840 0.288 0.296
17 O 0.899 0.567 0.306

Principal peaks in the range 5 to 70 degrees two-theta, sorted by position:
Position (°2θ), intensity
13.83, 428
14.85, 1000
21.23, 180
25.28, 333
29.44, 652
29.95, 193
30.12, 686
30.25, 213
31.55, 157
33.00, 358
39.84, 194
49.67, 228

Entry 5:
Structure and simulated powder diffraction line list of Cd7SiN6 (DFT lattice parameters and positions (PBE); λ = 1.5418 Å (Cu Kα)).

Cell lengths 5.924, 5.924, 13.532 Å; angles 90.00, 90.00, 60.31 degrees
Fractional positions:
1 Cd 0.082 0.480 0.621
2 Cd 0.082 0.480 0.879
3 Cd 0.092 0.908 0.750
4 Cd 0.247 0.753 0.034
5 Cd 0.247 0.753 0.466
6 Cd 0.480 0.082 0.121
7 Cd 0.480 0.082 0.379
8 Cd 0.520 0.918 0.621
9 Cd 0.520 0.918 0.879
10 Cd 0.753 0.247 0.534
11 Cd 0.753 0.247 0.966
12 Cd 0.908 0.092 0.250
13 Cd 0.918 0.520 0.121
14 Cd 0.918 0.520 0.379
15 Si 0.393 0.607 0.250
16 Si 0.607 0.393 0.750
17 N 0.073 0.649 0.250
18 N 0.169 0.169 0.000
19 N 0.169 0.169 0.500
20 N 0.351 0.927 0.250
21 N 0.431 0.569 0.643
22 N 0.431 0.569 0.857
23 N 0.569 0.431 0.143
24 N 0.569 0.431 0.357
25 N 0.649 0.073 0.750
26 N 0.831 0.831 0.000
27 N 0.831 0.831 0.500
28 N 0.927 0.351 0.750

Principal peaks in the range 5 to 70 degrees two-theta, sorted by position:
Position (°2θ), intensity
30.03, 322
31.69, 1000
35.04, 367
35.51, 255
36.16, 166
36.28, 417
37.39, 183
37.55, 154
44.22, 335
58.57, 145
66.11, 136
68.58, 135

Entry 6:
Structure and simulated powder diffraction line list of La2Al3Ge (DFT lattice parameters and positions (PBE); λ = 1.5418 Å (Cu Kα)).

Cell lengths 4.398, 4.398, 8.876 Å; angles 90.00, 90.00, 120.00 degrees
Fractional positions:
1 La 0.000 0.000 0.249
2 La 0.000 0.000 0.751
3 Al 0.333 0.667 0.500
4 Al 0.667 0.333 0.000
5 Al 0.667 0.333 0.500
6 Ge 0.333 0.667 0.000

Principal peaks in the range 5 to 70 degrees two-theta, sorted by position:
Position (°2θ), intensity
9.97, 41
20.01, 49
23.36, 318
30.94, 1000
40.66, 116
41.05, 338
47.42, 97
47.76, 48
52.28, 226
59.15, 228
67.98, 102
68.53, 199